# 1
For La12TbTm6, a crystal structure in Alexandria, relaxed with GGA-PBE gives the theoretical powder diffraction line list in this record (copper Kα).
Lines closer than 0.1° are merged.

Principal peaks in the range 2θ = 15–90°, sorted by position:
| 2θ (°) | intensity |
| --- | --- |
| 29.8 | 339 |
| 30.0 | 1000 |
| 34.7 | 679 |
| 49.8 | 244 |
| 50.0 | 240 |
| 59.4 | 429 |

Atomic structure:
Cell lengths 9.6494, 9.6494, 9.6494 Å; angles 110.83, 110.83, 110.83 degrees
Positions (direct):
1 La 0.0576 0.3726 0.5806
2 La 0.1040 0.7369 0.1572
3 La 0.1572 0.1040 0.7369
4 La 0.2631 0.8428 0.8960
5 La 0.3726 0.5806 0.0576
6 La 0.4194 0.9424 0.6274
7 La 0.5806 0.0576 0.3726
8 La 0.6274 0.4194 0.9424
9 La 0.7369 0.1572 0.1040
10 La 0.8428 0.8960 0.2631
11 La 0.8960 0.2631 0.8428
12 La 0.9424 0.6274 0.4194
13 Tb 0.0000 0.0000 0.0000
14 Tm 0.2165 0.4712 0.3188
15 Tm 0.3188 0.2165 0.4712
16 Tm 0.4712 0.3188 0.2165
17 Tm 0.5288 0.6812 0.7835
18 Tm 0.6812 0.7835 0.5288
19 Tm 0.7835 0.5288 0.6812

***

# 2
For Mg4GeS6, a crystal structure in Alexandria, relaxed with GGA-PBE gives the theoretical powder diffraction line list in this record (copper Kα).
Lines closer than 0.1° are merged.

Principal peaks in the range 2θ = 15–90°, sorted by position:
| 2θ (°) | intensity |
| --- | --- |
| 15.4 | 1000 |
| 25.2 | 442 |
| 25.4 | 675 |
| 29.8 | 524 |
| 31.1 | 932 |
| 44.7 | 571 |

Atomic structure:
Cell lengths 7.0523, 7.0523, 12.3105 Å; angles 107.47, 107.47, 59.51 degrees
Positions (direct):
1 Mg 0.0618 0.2894 0.8090
2 Mg 0.0874 0.9126 0.5000
3 Mg 0.1748 0.5521 0.1508
4 Mg 0.2894 0.0618 0.3090
5 Mg 0.5416 0.7640 0.9996
6 Mg 0.5521 0.1748 0.6508
7 Mg 0.7640 0.5416 0.4996
8 Mg 0.9126 0.0874 0.0000
9 Ge 0.1497 0.7074 0.7479
10 Ge 0.7074 0.1497 0.2479
11 S 0.1249 0.5834 0.5582
12 S 0.2658 0.8278 0.1132
13 S 0.3503 0.8901 0.8090
14 S 0.3557 0.3969 0.8224
15 S 0.3969 0.3557 0.3224
16 S 0.4349 0.9154 0.4929
17 S 0.5834 0.1249 0.0582
18 S 0.8173 0.9022 0.7967
19 S 0.8278 0.2658 0.6132
20 S 0.8901 0.3503 0.3090
21 S 0.9022 0.8173 0.2967
22 S 0.9154 0.4349 0.9929